# 1
NaBi2Pd: calculated powder XRD pattern (Cu Kα (λ = 1.5418 Å)), based on a cell relaxed with GGA-PBE.
No peak broadening, texture or thermal motion is included.

Principal peaks in the range 5 to 70 degrees two-theta, low angle first:
two_theta  I/Imax
15.27  27
18.70  22
21.74  35
30.83  100
32.76  22
37.95  87
39.50  39
41.33  24

```
data_NaBi2Pd
_chemical_formula_sum 'Na2 Bi4 Pd2'
_cell_length_a 6.2000
_cell_length_b 6.2000
_cell_length_c 8.2463
_cell_angle_alpha 90.00
_cell_angle_beta 90.00
_cell_angle_gamma 138.74
_space_group_name_H-M_alt 'P 1'
_space_group_IT_number 1
loop_
_space_group_symop_operation_xyz
'x,y,z'
loop_
_atom_site_label
_atom_site_fract_x
_atom_site_fract_y
_atom_site_fract_z
_atom_site_occupancy
Na1 0.0626 0.9374 0.7500 1
Na2 0.9374 0.0626 0.2500 1
Bi1 0.3574 0.6426 0.5429 1
Bi2 0.3574 0.6426 0.9571 1
Bi3 0.6426 0.3574 0.0429 1
Bi4 0.6426 0.3574 0.4571 1
Pd1 0.2129 0.7871 0.2500 1
Pd2 0.7871 0.2129 0.7500 1
```

# 2
SrNi9P5: calculated powder XRD pattern (Cu Kα (λ = 1.5418 Å)), based on a cell relaxed with GGA-PBE.
No peak broadening, texture or thermal motion is included.

Principal peaks in the range 5 to 70 degrees two-theta, low angle first:
two_theta  I/Imax
31.73  59
32.09  65
35.92  100
36.89  56
46.55  70
49.19  53
49.70  63
54.86  77

```
data_SrNi9P5
_chemical_formula_sum 'Sr2 Ni18 P10'
_cell_length_a 6.5125
_cell_length_b 6.5125
_cell_length_c 10.8062
_cell_angle_alpha 90.00
_cell_angle_beta 90.00
_cell_angle_gamma 120.00
_space_group_name_H-M_alt 'P 1'
_space_group_IT_number 1
loop_
_space_group_symop_operation_xyz
'x,y,z'
loop_
_atom_site_label
_atom_site_fract_x
_atom_site_fract_y
_atom_site_fract_z
_atom_site_occupancy
Sr1 0.0000 0.0000 0.0000 1
Sr2 0.0000 0.0000 0.5000 1
Ni1 0.0717 0.5359 0.1073 1
Ni2 0.0717 0.5359 0.3927 1
Ni3 0.2025 0.4049 0.7500 1
Ni4 0.2025 0.7975 0.7500 1
Ni5 0.4049 0.2025 0.2500 1
Ni6 0.4641 0.5359 0.1073 1
Ni7 0.4641 0.5359 0.3927 1
Ni8 0.4641 0.9283 0.1073 1
Ni9 0.4641 0.9283 0.3927 1
Ni10 0.5359 0.0717 0.6073 1
Ni11 0.5359 0.0717 0.8927 1
Ni12 0.5359 0.4641 0.6073 1
Ni13 0.5359 0.4641 0.8927 1
Ni14 0.5951 0.7975 0.7500 1
Ni15 0.7975 0.2025 0.2500 1
Ni16 0.7975 0.5951 0.2500 1
Ni17 0.9283 0.4641 0.6073 1
Ni18 0.9283 0.4641 0.8927 1
P1 0.1744 0.3488 0.2500 1
P2 0.1744 0.8256 0.2500 1
P3 0.3333 0.6667 0.5617 1
P4 0.3333 0.6667 0.9383 1
P5 0.3488 0.1744 0.7500 1
P6 0.6512 0.8256 0.2500 1
P7 0.6667 0.3333 0.0617 1
P8 0.6667 0.3333 0.4383 1
P9 0.8256 0.1744 0.7500 1
P10 0.8256 0.6512 0.7500 1
```

# 3
Ti4AlCr: calculated powder XRD pattern (Cu Kα (λ = 1.5418 Å)), based on a cell relaxed with GGA-PBE.
No peak broadening, texture or thermal motion is included.

Principal peaks in the range 5 to 70 degrees two-theta, low angle first:
two_theta  I/Imax
11.00  36
38.85  85
40.06  100
41.84  43
42.29  19
43.71  41
51.63  11
62.11  24

```
data_Ti4AlCr
_chemical_formula_sum 'Ti4 Al1 Cr1'
_cell_length_a 2.8530
_cell_length_b 4.1416
_cell_length_c 8.1404
_cell_angle_alpha 90.00
_cell_angle_beta 98.79
_cell_angle_gamma 90.00
_space_group_name_H-M_alt 'P 1'
_space_group_IT_number 1
loop_
_space_group_symop_operation_xyz
'x,y,z'
loop_
_atom_site_label
_atom_site_fract_x
_atom_site_fract_y
_atom_site_fract_z
_atom_site_occupancy
Ti1 0.1095 0.0000 0.1825 1
Ti2 0.2801 0.5000 0.6486 1
Ti3 0.7199 0.5000 0.3514 1
Ti4 0.8905 0.0000 0.8175 1
Al1 0.5000 0.5000 0.0000 1
Cr1 0.5000 0.0000 0.5000 1
```

# 4
Ce4Ge2As: calculated powder XRD pattern (Cu Kα (λ = 1.5418 Å)), based on a cell relaxed with GGA-PBE.
No peak broadening, texture or thermal motion is included.

Principal peaks in the range 5 to 70 degrees two-theta, low angle first:
two_theta  I/Imax
24.35  13
31.59  100
37.58  69
49.89  21
52.07  29
64.10  23
65.97  12
67.82  15

```
data_Ce4Ge2As
_chemical_formula_sum 'Ce8 Ge4 As2'
_cell_length_a 7.7556
_cell_length_b 7.7556
_cell_length_c 7.7556
_cell_angle_alpha 109.47
_cell_angle_beta 109.47
_cell_angle_gamma 109.48
_space_group_name_H-M_alt 'P 1'
_space_group_IT_number 1
loop_
_space_group_symop_operation_xyz
'x,y,z'
loop_
_atom_site_label
_atom_site_fract_x
_atom_site_fract_y
_atom_site_fract_z
_atom_site_occupancy
Ce1 0.1236 0.2310 0.7481 1
Ce2 0.1255 0.7329 0.7519 1
Ce3 0.2671 0.0190 0.3926 1
Ce4 0.4829 0.3755 0.2519 1
Ce5 0.6245 0.8764 0.1074 1
Ce6 0.6264 0.8745 0.6074 1
Ce7 0.7690 0.5171 0.8926 1
Ce8 0.9810 0.3736 0.2481 1
Ge1 0.2503 0.6250 0.1253 1
Ge2 0.3750 0.5003 0.6253 1
Ge3 0.4997 0.1250 0.8747 1
Ge4 0.8750 0.7497 0.3747 1
As1 0.0000 0.0000 0.0000 1
As2 0.7500 0.2500 0.5000 1
```

# 5
CrMo2Os: calculated powder XRD pattern (Cu Kα (λ = 1.5418 Å)), based on a cell relaxed with GGA-PBE.
No peak broadening, texture or thermal motion is included.

Principal peaks in the range 5 to 70 degrees two-theta, low angle first:
two_theta  I/Imax
17.63  20
20.71  27
27.33  16
41.12  100
41.29  50
41.63  98
42.14  48
60.47  31

```
data_CrMo2Os
_chemical_formula_sum 'Cr1 Mo2 Os1'
_cell_length_a 2.7052
_cell_length_b 4.2886
_cell_length_c 5.1207
_cell_angle_alpha 90.00
_cell_angle_beta 100.80
_cell_angle_gamma 90.00
_space_group_name_H-M_alt 'P 1'
_space_group_IT_number 1
loop_
_space_group_symop_operation_xyz
'x,y,z'
loop_
_atom_site_label
_atom_site_fract_x
_atom_site_fract_y
_atom_site_fract_z
_atom_site_occupancy
Cr1 0.0000 0.0000 0.0000 1
Mo1 0.5769 0.0000 0.5026 1
Mo2 0.8064 0.5000 0.2328 1
Os1 0.2861 0.5000 0.7489 1
```

# 6
Pr7Er5: calculated powder XRD pattern (Cu Kα (λ = 1.5418 Å)), based on a cell relaxed with GGA-PBE.
No peak broadening, texture or thermal motion is included.

Principal peaks in the range 5 to 70 degrees two-theta, low angle first:
two_theta  I/Imax
29.26  40
30.42  50
32.15  100
32.30  48
36.52  22
50.18  25
55.17  27
59.82  29

```
data_Pr7Er5
_chemical_formula_sum 'Pr7 Er5'
_cell_length_a 9.6048
_cell_length_b 9.6048
_cell_length_c 13.3199
_cell_angle_alpha 117.50
_cell_angle_beta 117.50
_cell_angle_gamma 21.95
_space_group_name_H-M_alt 'P 1'
_space_group_IT_number 1
loop_
_space_group_symop_operation_xyz
'x,y,z'
loop_
_atom_site_label
_atom_site_fract_x
_atom_site_fract_y
_atom_site_fract_z
_atom_site_occupancy
Pr1 0.0000 0.0000 0.0000 1
Pr2 0.1396 0.1396 0.7519 1
Pr3 0.1677 0.1677 0.5048 1
Pr4 0.4711 0.4711 0.7499 1
Pr5 0.5289 0.5289 0.2501 1
Pr6 0.8323 0.8323 0.4952 1
Pr7 0.8604 0.8604 0.2481 1
Er1 0.1939 0.1939 0.2465 1
Er2 0.3312 0.3312 0.9970 1
Er3 0.5000 0.5000 0.5000 1
Er4 0.6688 0.6688 0.0030 1
Er5 0.8061 0.8061 0.7535 1
```

# 7
Mg8H: calculated powder XRD pattern (Cu Kα (λ = 1.5418 Å)), based on a cell relaxed with GGA-PBE.
No peak broadening, texture or thermal motion is included.

Principal peaks in the range 5 to 70 degrees two-theta, low angle first:
two_theta  I/Imax
32.33  23
34.59  26
36.79  100
48.07  15
57.66  17
63.44  19
67.67  3
69.01  19

```
data_Mg8H
_chemical_formula_sum 'Mg8 H1'
_cell_length_a 6.3952
_cell_length_b 6.3952
_cell_length_c 5.1857
_cell_angle_alpha 90.00
_cell_angle_beta 90.00
_cell_angle_gamma 120.00
_space_group_name_H-M_alt 'P 1'
_space_group_IT_number 1
loop_
_space_group_symop_operation_xyz
'x,y,z'
loop_
_atom_site_label
_atom_site_fract_x
_atom_site_fract_y
_atom_site_fract_z
_atom_site_occupancy
Mg1 0.1668 0.3336 0.2456 1
Mg2 0.1668 0.8332 0.2456 1
Mg3 0.3333 0.6667 0.7431 1
Mg4 0.3336 0.1668 0.7544 1
Mg5 0.6664 0.8332 0.2456 1
Mg6 0.6667 0.3333 0.2569 1
Mg7 0.8332 0.1668 0.7544 1
Mg8 0.8332 0.6664 0.7544 1
H1 0.0000 0.0000 0.5000 1
```

# 8
ScAlB4: calculated powder XRD pattern (Cu Kα (λ = 1.5418 Å)), based on a cell relaxed with GGA-PBE.
No peak broadening, texture or thermal motion is included.

Principal peaks in the range 5 to 70 degrees two-theta, low angle first:
two_theta  I/Imax
26.09  22
31.64  50
38.77  22
41.46  100
44.38  26
47.53  27
53.67  20
63.68  19

```
data_ScAlB4
_chemical_formula_sum 'Sc4 Al4 B16'
_cell_length_a 5.8406
_cell_length_b 11.3141
_cell_length_c 3.4153
_cell_angle_alpha 90.00
_cell_angle_beta 90.00
_cell_angle_gamma 90.00
_space_group_name_H-M_alt 'P 1'
_space_group_IT_number 1
loop_
_space_group_symop_operation_xyz
'x,y,z'
loop_
_atom_site_label
_atom_site_fract_x
_atom_site_fract_y
_atom_site_fract_z
_atom_site_occupancy
Sc1 0.1328 0.1499 0.0000 1
Sc2 0.3672 0.6499 0.0000 1
Sc3 0.6328 0.3501 0.0000 1
Sc4 0.8672 0.8501 0.0000 1
Al1 0.1401 0.4096 0.0000 1
Al2 0.3599 0.9096 0.0000 1
Al3 0.6401 0.0904 0.0000 1
Al4 0.8599 0.5904 0.0000 1
B1 0.0223 0.6948 0.5000 1
B2 0.1162 0.5487 0.5000 1
B3 0.1311 0.9693 0.5000 1
B4 0.2054 0.8126 0.5000 1
B5 0.2946 0.3126 0.5000 1
B6 0.3689 0.4693 0.5000 1
B7 0.3838 0.0487 0.5000 1
B8 0.4777 0.1948 0.5000 1
B9 0.5223 0.8052 0.5000 1
B10 0.6162 0.9513 0.5000 1
B11 0.6311 0.5307 0.5000 1
B12 0.7054 0.6874 0.5000 1
B13 0.7946 0.1874 0.5000 1
B14 0.8689 0.0307 0.5000 1
B15 0.8838 0.4513 0.5000 1
B16 0.9777 0.3052 0.5000 1
```

# 9
Pr2Y2Zn3: calculated powder XRD pattern (Cu Kα (λ = 1.5418 Å)), based on a cell relaxed with GGA-PBE.
No peak broadening, texture or thermal motion is included.

Principal peaks in the range 5 to 70 degrees two-theta, low angle first:
two_theta  I/Imax
24.02  11
31.16  100
37.06  71
49.18  20
51.33  28
63.14  23
64.98  12
66.79  14

```
data_Pr2Y2Zn3
_chemical_formula_sum 'Pr4 Y4 Zn6'
_cell_length_a 7.8607
_cell_length_b 7.8607
_cell_length_c 7.8607
_cell_angle_alpha 109.47
_cell_angle_beta 109.47
_cell_angle_gamma 109.47
_space_group_name_H-M_alt 'P 1'
_space_group_IT_number 1
loop_
_space_group_symop_operation_xyz
'x,y,z'
loop_
_atom_site_label
_atom_site_fract_x
_atom_site_fract_y
_atom_site_fract_z
_atom_site_occupancy
Pr1 0.0000 0.1523 0.5000 1
Pr2 0.1523 0.5000 0.0000 1
Pr3 0.3477 0.3477 0.3477 1
Pr4 0.5000 0.0000 0.1523 1
Y1 0.0000 0.6364 0.5000 1
Y2 0.5000 0.0000 0.6364 1
Y3 0.6364 0.5000 0.0000 1
Y4 0.8636 0.8636 0.8636 1
Zn1 0.1080 0.8580 0.2500 1
Zn2 0.2500 0.1080 0.8580 1
Zn3 0.3920 0.6420 0.7500 1
Zn4 0.6420 0.7500 0.3920 1
Zn5 0.7500 0.3920 0.6420 1
Zn6 0.8580 0.2500 0.1080 1
```

# 10
Pm4MgSi2: calculated powder XRD pattern (Cu Kα (λ = 1.5418 Å)), based on a cell relaxed with GGA-PBE.
No peak broadening, texture or thermal motion is included.

Principal peaks in the range 5 to 70 degrees two-theta, low angle first:
two_theta  I/Imax
21.41  20
26.12  100
30.67  42
35.72  77
38.76  33
44.78  24
54.19  24
58.56  21

```
data_Pm4MgSi2
_chemical_formula_sum 'Pm4 Mg1 Si2'
_cell_length_a 9.6064
_cell_length_b 9.6064
_cell_length_c 9.6064
_cell_angle_alpha 30.34
_cell_angle_beta 30.34
_cell_angle_gamma 30.34
_space_group_name_H-M_alt 'P 1'
_space_group_IT_number 1
loop_
_space_group_symop_operation_xyz
'x,y,z'
loop_
_atom_site_label
_atom_site_fract_x
_atom_site_fract_y
_atom_site_fract_z
_atom_site_occupancy
Pm1 0.1168 0.1168 0.1168 1
Pm2 0.2923 0.2923 0.2923 1
Pm3 0.7077 0.7077 0.7077 1
Pm4 0.8832 0.8832 0.8832 1
Mg1 0.5000 0.5000 0.5000 1
Si1 0.4030 0.4030 0.4030 1
Si2 0.5970 0.5970 0.5970 1
```